(1)
Computed X-ray powder pattern of Ba2BiIrO6 for Cu Kα (weighted mean of Kα1 and Kα2), from DFT lattice parameters and positions (PBE).
Peak positions follow from Bragg's law for the DFT cell and can differ from measured ones.

Top 8 peaks for 10 to 80 degrees two-theta, by angle:
2theta	Rel. int.
29.2	66.7
29.5	100.0
29.6	32.9
41.9	18.2
42.1	17.7
42.2	17.3
52.0	29.1
52.2	14.4

Structural model:
```
data_Ba2BiIrO6
_cell_length_a 6.044
_cell_length_b 6.057
_cell_length_c 6.059
_cell_angle_alpha 60.54
_cell_angle_beta 60.72
_cell_angle_gamma 60.22
_space_group_name_H-M_alt 'P -1'
_space_group_IT_number 2
_space_group_name_Hall '-P 1'
loop_
_atom_site_label
_atom_site_type_symbol
_atom_site_fract_x
_atom_site_fract_y
_atom_site_fract_z
Ba1 Ba 0.247 0.253 0.254
Bi1 Bi 0.000 0.000 0.000
Ir1 Ir 0.500 0.500 0.500
O1 O 0.239 0.297 0.715
O2 O 0.247 0.773 0.689
O3 O 0.321 0.717 0.217
```

(2)
Computed X-ray powder pattern of PrSiP3 for Cu Kα (weighted mean of Kα1 and Kα2), from DFT lattice parameters and positions (PBE).
Peak positions follow from Bragg's law for the DFT cell and can differ from measured ones.

Top 8 peaks for 10 to 80 degrees two-theta, by angle:
2theta	Rel. int.
22.7	100.0
25.8	69.7
30.3	42.3
31.2	42.0
35.2	36.1
35.7	69.4
37.9	33.7
44.1	37.8

Structural model:
```
data_PrSiP3
_cell_length_a 5.897
_cell_length_b 25.496
_cell_length_c 5.725
_cell_angle_alpha 90.00
_cell_angle_beta 90.00
_cell_angle_gamma 90.00
_space_group_name_H-M_alt 'P n a 21'
_space_group_IT_number 33
_space_group_name_Hall 'P 2c -2n'
loop_
_atom_site_label
_atom_site_type_symbol
_atom_site_fract_x
_atom_site_fract_y
_atom_site_fract_z
Pr1 Pr 0.024 0.090 0.000
Pr2 Pr 0.024 0.402 0.498
Si1 Si 0.056 0.795 0.082
Si2 Si 0.116 0.291 0.080
P1 P 0.017 0.373 0.996
P2 P 0.019 0.789 0.474
P3 P 0.028 0.123 0.498
P4 P 0.083 0.284 0.472
P5 P 0.184 0.503 0.210
P6 P 0.187 0.502 0.808
```

(3)
Computed X-ray powder pattern of NaLi2BP2O8 for Cu Kα (weighted mean of Kα1 and Kα2), from DFT lattice parameters and positions (PBE).
Peak positions follow from Bragg's law for the DFT cell and can differ from measured ones.

Top 8 peaks for 10 to 80 degrees two-theta, by angle:
2theta	Rel. int.
12.2	83.3
17.3	100.0
21.4	62.1
24.4	55.8
29.4	71.6
29.5	67.6
30.2	74.8
31.9	81.9

Structural model:
```
data_NaLi2BP2O8
_cell_length_a 5.503
_cell_length_b 7.483
_cell_length_c 8.110
_cell_angle_alpha 76.61
_cell_angle_beta 70.53
_cell_angle_gamma 87.32
_space_group_name_H-M_alt 'P -1'
_space_group_IT_number 2
_space_group_name_Hall '-P 1'
loop_
_atom_site_label
_atom_site_type_symbol
_atom_site_fract_x
_atom_site_fract_y
_atom_site_fract_z
Na1 Na 0.246 0.119 0.241
Li1 Li 0.190 0.499 0.358
Li2 Li 0.355 0.470 0.902
B1 B 0.249 0.046 0.734
P1 P 0.122 0.774 0.047
P2 P 0.355 0.752 0.554
O1 O 0.002 0.862 0.217
O2 O 0.086 0.287 0.014
O3 O 0.146 0.627 0.554
O4 O 0.223 0.934 0.610
O5 O 0.300 0.624 0.096
O6 O 0.301 0.933 0.894
O7 O 0.467 0.180 0.648
O8 O 0.487 0.334 0.326
```

(4)
Computed X-ray powder pattern of GdMn2Ge2 for Cu Kα (weighted mean of Kα1 and Kα2), from DFT lattice parameters and positions (PBE).
Peak positions follow from Bragg's law for the DFT cell and can differ from measured ones.

Top 8 peaks for 10 to 80 degrees two-theta, by angle:
2theta	Rel. int.
31.9	33.0
33.4	100.0
36.0	97.7
45.7	56.4
47.5	44.3
57.8	41.2
68.0	29.9
78.1	19.0

Structural model:
```
data_GdMn2Ge2
_cell_length_a 3.970
_cell_length_b 3.970
_cell_length_c 10.921
_cell_angle_alpha 90.00
_cell_angle_beta 90.00
_cell_angle_gamma 90.00
_space_group_name_H-M_alt 'I 4/m m m'
_space_group_IT_number 139
_space_group_name_Hall '-I 4 2'
loop_
_atom_site_label
_atom_site_type_symbol
_atom_site_fract_x
_atom_site_fract_y
_atom_site_fract_z
Gd1 Gd 0.000 0.000 0.000
Mn1 Mn 0.000 0.500 0.250
Ge1 Ge 0.000 0.000 0.379
```

(5)
Computed X-ray powder pattern of CeSi2Au4 for Cu Kα (weighted mean of Kα1 and Kα2), from DFT lattice parameters and positions (PBE).
Peak positions follow from Bragg's law for the DFT cell and can differ from measured ones.

Top 8 peaks for 10 to 80 degrees two-theta, by angle:
2theta	Rel. int.
12.8	25.2
35.2	100.0
39.1	15.7
41.7	36.0
44.1	13.3
58.5	19.6
68.3	12.9
72.0	25.7

Structural model:
```
data_CeSi2Au4
_cell_length_a 4.328
_cell_length_b 4.328
_cell_length_c 27.673
_cell_angle_alpha 90.00
_cell_angle_beta 90.00
_cell_angle_gamma 90.00
_space_group_name_H-M_alt 'P -4 m 2'
_space_group_IT_number 115
_space_group_name_Hall 'P -4 -2'
loop_
_atom_site_label
_atom_site_type_symbol
_atom_site_fract_x
_atom_site_fract_y
_atom_site_fract_z
Ce1 Ce 0.000 0.000 0.000
Ce2 Ce 0.000 0.000 0.500
Ce3 Ce 0.000 0.500 0.252
Si1 Si 0.000 0.500 0.706
Si2 Si 0.000 0.500 0.790
Si3 Si 0.500 0.500 0.042
Si4 Si 0.500 0.500 0.458
Au1 Au 0.000 0.000 0.164
Au2 Au 0.000 0.000 0.338
Au3 Au 0.000 0.500 0.087
Au4 Au 0.000 0.500 0.413
Au5 Au 0.000 0.500 0.587
Au6 Au 0.000 0.500 0.913
Au7 Au 0.500 0.500 0.163
Au8 Au 0.500 0.500 0.338
```

(6)
Computed X-ray powder pattern of Ta2MoIr for Cu Kα (weighted mean of Kα1 and Kα2), from DFT lattice parameters and positions (PBE).
Peak positions follow from Bragg's law for the DFT cell and can differ from measured ones.

Top 8 peaks for 10 to 80 degrees two-theta, by angle:
2theta	Rel. int.
24.0	4.7
27.8	1.5
39.7	100.0
46.9	2.6
57.4	17.1
63.1	1.1
72.0	35.0
77.2	0.9

Structural model:
```
data_Ta2MoIr
_cell_length_a 6.423
_cell_length_b 6.423
_cell_length_c 6.423
_cell_angle_alpha 90.00
_cell_angle_beta 90.00
_cell_angle_gamma 90.00
_space_group_name_H-M_alt 'F m -3 m'
_space_group_IT_number 225
_space_group_name_Hall '-F 4 2 3'
loop_
_atom_site_label
_atom_site_type_symbol
_atom_site_fract_x
_atom_site_fract_y
_atom_site_fract_z
Ta1 Ta 0.250 0.250 0.250
Mo1 Mo 0.000 0.000 0.000
Ir1 Ir 0.000 0.000 0.500
```

(7)
Computed X-ray powder pattern of UCuSi for Cu Kα (weighted mean of Kα1 and Kα2), from DFT lattice parameters and positions (PBE).
Peak positions follow from Bragg's law for the DFT cell and can differ from measured ones.

Top 8 peaks for 10 to 80 degrees two-theta, by angle:
2theta	Rel. int.
22.9	100.0
39.8	59.0
39.9	58.5
40.2	78.0
46.8	16.3
57.8	20.0
58.0	19.9
63.3	13.9

Structural model:
```
data_UCuSi
_cell_length_a 7.770
_cell_length_b 4.485
_cell_length_c 2.780
_cell_angle_alpha 90.00
_cell_angle_beta 90.25
_cell_angle_gamma 90.00
_space_group_name_H-M_alt 'C 1 m 1'
_space_group_IT_number 8
_space_group_name_Hall 'C -2y'
loop_
_atom_site_label
_atom_site_type_symbol
_atom_site_fract_x
_atom_site_fract_y
_atom_site_fract_z
U1 U 0.000 0.000 0.000
Cu1 Cu 0.334 0.000 0.499
Si1 Si 0.167 0.500 0.500
```